Rb6TiSe4: computed powder diffraction line list (CuKα), based on a DFT-relaxed cell (PBE, Alexandria).
Lines closer than 0.1° are merged.

Peak list (6 most intense, 2θ from 10° to 90°, in order of rising 2θ)
2θ/deg	Rel. int.
27.11	100
28.53	98
30.27	73
32.76	57
33.61	28
53.54	30

Crystal structure
Unit cell a=10.935 b=10.935 c=8.337 alpha=90.00 beta=90.00 gamma=120.00
Fractional positions:
Rb (0.061, 0.531, 0.000)
Rb (0.136, 0.271, 0.317)
Rb (0.136, 0.864, 0.317)
Rb (0.271, 0.136, 0.817)
Rb (0.469, 0.531, 0.000)
Rb (0.469, 0.939, 0.000)
Rb (0.531, 0.061, 0.500)
Rb (0.531, 0.469, 0.500)
Rb (0.729, 0.864, 0.317)
Rb (0.864, 0.136, 0.817)
Rb (0.864, 0.729, 0.817)
Rb (0.939, 0.469, 0.500)
Ti (0.333, 0.667, 0.605)
Ti (0.667, 0.333, 0.105)
Se (0.207, 0.415, 0.703)
Se (0.207, 0.793, 0.703)
Se (0.333, 0.667, 0.302)
Se (0.415, 0.207, 0.203)
Se (0.585, 0.793, 0.703)
Se (0.667, 0.333, 0.802)
Se (0.793, 0.207, 0.203)
Se (0.793, 0.585, 0.203)

SiAgH2F8: computed powder diffraction line list (CuKα), based on a DFT-relaxed cell (PBE, Alexandria).
Lines closer than 0.1° are merged.

Peak list (6 most intense, 2θ from 10° to 90°, in order of rising 2θ)
2θ/deg	Rel. int.
18.46	100
18.92	90
21.76	41
27.61	22
30.65	23
38.47	23

Crystal structure
Unit cell a=4.971 b=5.082 c=6.479 alpha=89.52 beta=86.02 gamma=71.07
Fractional positions:
Si (0.000, 0.000, 0.000)
Ag (0.000, 0.000, 0.500)
H (0.241, 0.261, 0.739)
H (0.759, 0.739, 0.261)
F (0.188, 0.226, 0.939)
F (0.221, 0.766, 0.834)
F (0.221, 0.865, 0.203)
F (0.255, 0.263, 0.578)
F (0.745, 0.737, 0.422)
F (0.779, 0.135, 0.797)
F (0.779, 0.234, 0.166)
F (0.812, 0.774, 0.061)

PrZn9Hg2: computed powder diffraction line list (CuKα), based on a DFT-relaxed cell (PBE, Alexandria).
Lines closer than 0.1° are merged.

Peak list (6 most intense, 2θ from 10° to 90°, in order of rising 2θ)
2θ/deg	Rel. int.
31.39	51
32.78	68
34.40	45
38.20	47
39.44	100
68.71	29

Crystal structure
Unit cell a=8.906 b=8.906 c=8.906 alpha=35.73 beta=35.73 gamma=35.73
Fractional positions:
Pr (0.000, 0.000, 0.000)
Zn (0.081, 0.588, 0.588)
Zn (0.333, 0.333, 0.333)
Zn (0.412, 0.412, 0.919)
Zn (0.412, 0.919, 0.412)
Zn (0.500, 0.500, 0.500)
Zn (0.588, 0.081, 0.588)
Zn (0.588, 0.588, 0.081)
Zn (0.667, 0.667, 0.667)
Zn (0.919, 0.412, 0.412)
Hg (0.137, 0.137, 0.137)
Hg (0.863, 0.863, 0.863)

HgBiSe2I: computed powder diffraction line list (CuKα), based on a DFT-relaxed cell (PBE, Alexandria).
Lines closer than 0.1° are merged.

Peak list (6 most intense, 2θ from 10° to 90°, in order of rising 2θ)
2θ/deg	Rel. int.
10.59	100
15.35	50
29.04	56
34.01	24
37.22	28
43.52	32

Crystal structure
Unit cell a=8.646 b=4.430 c=10.557 alpha=90.00 beta=104.98 gamma=90.00
Fractional positions:
Hg (0.040, 0.250, 0.403)
Hg (0.960, 0.750, 0.597)
Bi (0.144, 0.750, 0.155)
Bi (0.856, 0.250, 0.845)
Se (0.090, 0.750, 0.870)
Se (0.215, 0.750, 0.457)
Se (0.785, 0.250, 0.543)
Se (0.910, 0.250, 0.130)
I (0.412, 0.250, 0.182)
I (0.588, 0.750, 0.818)

CaPr3Y6Er2: computed powder diffraction line list (CuKα), based on a DFT-relaxed cell (PBE, Alexandria).
Lines closer than 0.1° are merged.

Peak list (6 most intense, 2θ from 10° to 90°, in order of rising 2θ)
2θ/deg	Rel. int.
30.18	100
30.40	33
35.05	66
50.28	23
50.56	23
59.89	28

Crystal structure
Unit cell a=6.287 b=6.287 c=11.948 alpha=95.03 beta=95.03 gamma=120.00
Fractional positions:
Ca (0.000, 0.000, 0.000)
Pr (0.165, 0.835, 0.500)
Pr (0.500, 0.500, 0.500)
Pr (0.835, 0.165, 0.500)
Y (0.083, 0.423, 0.248)
Y (0.256, 0.256, 0.751)
Y (0.423, 0.083, 0.248)
Y (0.577, 0.917, 0.752)
Y (0.744, 0.744, 0.249)
Y (0.917, 0.577, 0.752)
Er (0.333, 0.667, 0.000)
Er (0.667, 0.333, 0.000)

RbHf2W: computed powder diffraction line list (CuKα), based on a DFT-relaxed cell (PBE, Alexandria).
Lines closer than 0.1° are merged.

Peak list (6 most intense, 2θ from 10° to 90°, in order of rising 2θ)
2θ/deg	Rel. int.
13.70	100
21.85	43
23.62	18
27.59	42
34.12	23
44.56	36

Crystal structure
Unit cell a=8.248 b=8.248 c=8.248 alpha=125.65 beta=125.65 gamma=80.46
Fractional positions:
Rb (0.375, 0.625, 0.750)
Rb (0.625, 0.375, 0.250)
Hf (0.000, 0.000, 0.000)
Hf (0.000, 0.000, 0.500)
Hf (0.000, 0.500, 0.000)
Hf (0.500, 0.000, 0.500)
W (0.125, 0.875, 0.250)
W (0.875, 0.125, 0.750)